The following is a calculated X-ray powder pattern of Li10CoNi9O20. It was derived from the PBE+U geometry in Alexandria, using a wavelength of 1.5418 Å.
Lines closer than 0.1° are merged.

Largest 10 diffraction maxima, by angle, 2θ = 10–80°:
2θ 18.6, rel. 100, hkl 1 0 -3; 2θ 35.2, rel. 19, hkl 1 0 7; 2θ 37.1, rel. 24, hkl 1 1 2; 2θ 37.7, rel. 11, hkl 2 0 -6; 2θ 38.4, rel. 10, hkl 0 1 5; 2θ 42.5, rel. 27, hkl 0 0 10; 2θ 45.1, rel. 44, hkl 2 1 -1; 2θ 48.2, rel. 11, hkl 1 1 -8; 2θ 59.3, rel. 10, hkl 3 1 -4; 2θ 63.7, rel. 27, hkl 2 1 9

Lattice parameters (Å, degrees): 5.755 2.811 21.476 90.00 97.62 90.00
Element x y z (fractional)
Li1 0.000 0.000 0.000
Li2 0.098 0.500 0.700
Li3 0.207 0.000 0.403
Li4 0.302 0.500 0.101
Li5 0.397 0.000 0.799
Li6 0.500 0.500 0.500
Li7 0.603 0.000 0.201
Li8 0.698 0.500 0.899
Li9 0.793 0.000 0.597
Li10 0.902 0.500 0.300
Co1 0.000 0.500 0.500
Ni1 0.103 0.000 0.201
Ni2 0.198 0.500 0.899
Ni3 0.299 0.000 0.597
Ni4 0.404 0.500 0.302
Ni5 0.500 0.000 0.000
Ni6 0.596 0.500 0.698
Ni7 0.701 0.000 0.403
Ni8 0.802 0.500 0.101
Ni9 0.897 0.000 0.799
O1 0.027 0.000 0.100
O2 0.068 0.500 0.591
O3 0.122 0.500 0.799
O4 0.176 0.000 0.302
O5 0.226 0.000 0.499
O6 0.275 0.500 0.000
O7 0.328 0.500 0.201
O8 0.367 0.000 0.698
O9 0.423 0.000 0.899
O10 0.475 0.500 0.401
O11 0.525 0.500 0.599
O12 0.577 0.000 0.101
O13 0.633 0.000 0.302
O14 0.672 0.500 0.799
O15 0.725 0.500 0.000
O16 0.774 0.000 0.501
O17 0.824 0.000 0.698
O18 0.878 0.500 0.201
O19 0.932 0.500 0.409
O20 0.973 0.000 0.900